This entry pairs a crystal structure of Cd3Ag4Sn2 with its theoretical powder diffractogram. Radiation: copper Kα. Structure: the PBE geometry in Alexandria.
Neutral-atom scattering factors, no anomalous dispersion.

Structure:
Lattice parameters (Å, degrees): 9.396 4.672 9.465 90.00 104.50 90.00
Space group C2/m (No. 12)
Asymmetric unit:
Cd 0.000 0.000 0.000 (multiplicity 2)
Cd 0.139 0.500 0.453 (multiplicity 4)
Ag 0.090 0.000 0.640 (multiplicity 4)
Ag 0.133 0.500 0.142 (multiplicity 4)
Sn 0.170 0.500 0.823 (multiplicity 4)

Main lines, sorted by position (15° ≤ 2θ ≤ 90°):
23.88°, I = 11, (2 0 -2)
27.27°, I = 14, (1 1 -2)
30.91°, I = 23, (2 0 -3)
35.29°, I = 46, (3 1 0)
38.53°, I = 100, (0 2 0)
38.68°, I = 17, (3 1 1)
39.62°, I = 16, (4 0 0)
41.14°, I = 28, (3 1 -3)
50.20°, I = 11, (2 2 -3)
56.46°, I = 11, (4 2 0)